Record 1
Calculated powder diffraction line list
Compound: La3Ge4Rh4
Radiation: Cu Kα (weighted mean of Kα1 and Kα2)
Structure: a PBE-relaxed structure
Kinematic intensities with the Lorentz-polarization factor, no thermal factor.

Largest 12 diffraction maxima, low angle first, 15 to 90 degrees two-theta:
two_theta  d (Å)  Rel. int.
32.5  2.755  40
33.0  2.711  100
38.0  2.368  18
42.3  2.138  27
43.2  2.096  26
44.3  2.044  21
54.3  1.689  18
58.8  1.569  10
62.0  1.497  18
63.6  1.463  14
71.4  1.320  11
72.7  1.301  10

Cell and atoms:
```
data_La3Ge4Rh4
_chemical_formula_sum 'La6 Ge8 Rh8'
_symmetry_space_group_name_H-M 'I m m m'
_symmetry_Int_Tables_number 71
_symmetry_space_group_name_Hall '-I 2 2'
_cell_length_a 4.192
_cell_length_b 4.276
_cell_length_c 25.590
_cell_angle_alpha 90.00
_cell_angle_beta 90.00
_cell_angle_gamma 90.00
loop_
_atom_site_label
_atom_site_type_symbol
_atom_site_fract_x
_atom_site_fract_y
_atom_site_fract_z
La1 La 0.000 0.000 0.000
La2 La 0.000 0.500 0.145
Ge1 Ge 0.000 0.000 0.451
Ge2 Ge 0.000 0.500 0.302
Rh1 Rh 0.000 0.000 0.250
Rh2 Rh 0.000 0.500 0.400
```

***

Record 2
Calculated powder diffraction line list
Compound: LaGeRu
Radiation: Cu Kα (weighted mean of Kα1 and Kα2)
Structure: a PBE-relaxed structure
Kinematic intensities with the Lorentz-polarization factor, no thermal factor.

Largest 12 diffraction maxima, low angle first, 15 to 90 degrees two-theta:
two_theta  d (Å)  Rel. int.
24.0  3.710  18
29.0  3.082  20
31.7  2.825  41
32.6  2.745  55
38.8  2.323  100
41.4  2.179  64
53.7  1.707  26
56.2  1.638  23
57.6  1.600  12
60.0  1.541  21
72.1  1.309  22
73.8  1.284  36

Cell and atoms:
```
data_LaGeRu
_chemical_formula_sum 'La2 Ge2 Ru2'
_symmetry_space_group_name_H-M 'P 4/n m m'
_symmetry_Int_Tables_number 129
_cell_length_a 4.358
_cell_length_b 4.358
_cell_length_c 7.070
_cell_angle_alpha 90.00
_cell_angle_beta 90.00
_cell_angle_gamma 90.00
loop_
_symmetry_equiv_pos_as_xyz
'x,y,z'
'-x,-y,-z'
'-y+1/2,x,z'
'y+1/2,-x,-z'
'-x+1/2,-y+1/2,z'
'x+1/2,y+1/2,-z'
'y,-x+1/2,z'
'-y,x+1/2,-z'
'x+1/2,-y,-z'
'-x+1/2,y,z'
'-y,-x,-z'
'y,x,z'
'-x,y+1/2,-z'
'x,-y+1/2,z'
'y+1/2,x+1/2,-z'
'-y+1/2,-x+1/2,z'
loop_
_atom_site_label
_atom_site_type_symbol
_atom_site_fract_x
_atom_site_fract_y
_atom_site_fract_z
La1 La 0.250 0.250 0.190
Ge1 Ge 0.250 0.250 0.684
Ru1 Ru 0.250 0.750 0.500
```

***

Record 3
Calculated powder diffraction line list
Compound: LaGe3Ru
Radiation: Cu Kα (weighted mean of Kα1 and Kα2)
Structure: a PBE-relaxed structure
Kinematic intensities with the Lorentz-polarization factor, no thermal factor.

Largest 12 diffraction maxima, low angle first, 15 to 90 degrees two-theta:
two_theta  d (Å)  Rel. int.
28.3  3.149  25
33.2  2.702  67
33.4  2.680  100
40.5  2.227  75
45.8  1.982  21
49.1  1.854  20
53.3  1.719  34
54.7  1.677  13
58.6  1.575  25
62.0  1.496  18
65.5  1.425  16
69.2  1.358  24

Cell and atoms:
```
data_LaGe3Ru
_chemical_formula_sum 'La2 Ge6 Ru2'
_symmetry_space_group_name_H-M 'I 4 m m'
_symmetry_Int_Tables_number 107
_symmetry_space_group_name_Hall 'I 4 -2'
_cell_length_a 4.454
_cell_length_b 4.454
_cell_length_c 10.198
_cell_angle_alpha 90.00
_cell_angle_beta 90.00
_cell_angle_gamma 90.00
loop_
_atom_site_label
_atom_site_type_symbol
_atom_site_fract_x
_atom_site_fract_y
_atom_site_fract_z
La1 La 0.000 0.000 0.000
Ge1 Ge 0.000 0.000 0.424
Ge2 Ge 0.000 0.500 0.260
Ru1 Ru 0.000 0.000 0.658
```

***

Record 4
Calculated powder diffraction line list
Compound: LaGe2Ru2
Radiation: Cu Kα (weighted mean of Kα1 and Kα2)
Structure: a PBE-relaxed structure
Kinematic intensities with the Lorentz-polarization factor, no thermal factor.

Largest 12 diffraction maxima, low angle first, 15 to 90 degrees two-theta:
two_theta  d (Å)  Rel. int.
17.4  5.097  11
33.5  2.673  69
34.2  2.624  100
41.7  2.165  67
46.4  1.959  18
49.4  1.844  14
54.6  1.682  34
60.5  1.531  22
62.5  1.485  26
66.6  1.404  11
71.3  1.322  23
89.2  1.098  14

Cell and atoms:
```
data_LaGe2Ru2
_chemical_formula_sum 'La2 Ge4 Ru4'
_symmetry_space_group_name_H-M 'I 4/m m m'
_symmetry_Int_Tables_number 139
_symmetry_space_group_name_Hall '-I 4 2'
_cell_length_a 4.330
_cell_length_b 4.330
_cell_length_c 10.193
_cell_angle_alpha 90.00
_cell_angle_beta 90.00
_cell_angle_gamma 90.00
loop_
_atom_site_label
_atom_site_type_symbol
_atom_site_fract_x
_atom_site_fract_y
_atom_site_fract_z
La1 La 0.000 0.000 0.000
Ge1 Ge 0.000 0.000 0.365
Ru1 Ru 0.000 0.500 0.250
```

***

Record 5
Calculated powder diffraction line list
Compound: La2GeS5
Radiation: Cu Kα (weighted mean of Kα1 and Kα2)
Structure: a PBE-relaxed structure
Kinematic intensities with the Lorentz-polarization factor, no thermal factor.

Largest 12 diffraction maxima, low angle first, 15 to 90 degrees two-theta:
two_theta  d (Å)  Rel. int.
22.6  3.927  67
23.5  3.785  100
23.9  3.720  66
24.5  3.631  73
27.7  3.223  42
27.8  3.205  59
32.7  2.740  41
35.2  2.550  44
36.8  2.445  60
39.2  2.300  35
42.2  2.142  40
45.5  1.995  37

Cell and atoms:
```
data_La2GeS5
_chemical_formula_sum 'La8 Ge4 S20'
_symmetry_space_group_name_H-M 'P 1 21/c 1'
_symmetry_Int_Tables_number 14
_cell_length_a 7.715
_cell_length_b 12.815
_cell_length_c 7.969
_cell_angle_alpha 90.00
_cell_angle_beta 101.31
_cell_angle_gamma 90.00
loop_
_symmetry_equiv_pos_as_xyz
'x,y,z'
'-x,-y,-z'
'-x,y+1/2,-z+1/2'
'x,-y+1/2,z+1/2'
loop_
_atom_site_label
_atom_site_type_symbol
_atom_site_fract_x
_atom_site_fract_y
_atom_site_fract_z
La1 La 0.160 0.166 0.135
La2 La 0.238 0.593 0.042
Ge1 Ge 0.338 0.617 0.591
S1 S 0.128 0.706 0.697
S2 S 0.138 0.121 0.499
S3 S 0.170 0.526 0.381
S4 S 0.421 0.007 0.284
S5 S 0.464 0.234 0.953
```

***

Record 6
Calculated powder diffraction line list
Compound: La2GeS5
Radiation: Cu Kα (weighted mean of Kα1 and Kα2)
Structure: a PBE-relaxed structure
Kinematic intensities with the Lorentz-polarization factor, no thermal factor.

Largest 12 diffraction maxima, low angle first, 15 to 90 degrees two-theta:
two_theta  d (Å)  Rel. int.
22.6  3.930  54
23.0  3.864  39
24.4  3.643  61
26.9  3.317  100
27.3  3.265  26
30.5  2.934  36
33.4  2.679  23
34.4  2.605  33
37.4  2.401  21
39.6  2.274  21
42.0  2.151  42
49.0  1.858  21

Cell and atoms:
```
data_La2GeS5
_chemical_formula_sum 'La8 Ge4 S20'
_symmetry_space_group_name_H-M 'P 1 21/c 1'
_symmetry_Int_Tables_number 14
_cell_length_a 9.709
_cell_length_b 7.324
_cell_length_c 11.271
_cell_angle_alpha 90.00
_cell_angle_beta 98.25
_cell_angle_gamma 90.00
loop_
_symmetry_equiv_pos_as_xyz
'x,y,z'
'-x,-y,-z'
'-x,y+1/2,-z+1/2'
'x,-y+1/2,z+1/2'
loop_
_atom_site_label
_atom_site_type_symbol
_atom_site_fract_x
_atom_site_fract_y
_atom_site_fract_z
La1 La 0.005 0.060 0.328
La2 La 0.242 0.605 0.510
Ge1 Ge 0.388 0.092 0.710
S1 S 0.034 0.218 0.051
S2 S 0.199 0.676 0.752
S3 S 0.229 0.164 0.826
S4 S 0.316 0.516 0.033
S5 S 0.485 0.117 0.156
```

***

Record 7
Calculated powder diffraction line list
Compound: LaTiGe
Radiation: Cu Kα (weighted mean of Kα1 and Kα2)
Structure: a PBE-relaxed structure
Kinematic intensities with the Lorentz-polarization factor, no thermal factor.

Largest 12 diffraction maxima, low angle first, 15 to 90 degrees two-theta:
two_theta  d (Å)  Rel. int.
30.3  2.951  55
30.8  2.899  100
32.3  2.771  43
37.8  2.381  59
39.9  2.259  19
43.4  2.087  51
50.3  1.815  20
54.2  1.694  41
61.7  1.504  16
63.0  1.476  16
68.5  1.369  16
78.4  1.220  16

Cell and atoms:
```
data_LaTiGe
_chemical_formula_sum 'La2 Ti2 Ge2'
_symmetry_space_group_name_H-M 'P 4/n m m'
_symmetry_Int_Tables_number 129
_cell_length_a 4.173
_cell_length_b 4.173
_cell_length_c 8.061
_cell_angle_alpha 90.00
_cell_angle_beta 90.00
_cell_angle_gamma 90.00
loop_
_symmetry_equiv_pos_as_xyz
'x,y,z'
'-x,-y,-z'
'-y+1/2,x,z'
'y+1/2,-x,-z'
'-x+1/2,-y+1/2,z'
'x+1/2,y+1/2,-z'
'y,-x+1/2,z'
'-y,x+1/2,-z'
'x+1/2,-y,-z'
'-x+1/2,y,z'
'-y,-x,-z'
'y,x,z'
'-x,y+1/2,-z'
'x,-y+1/2,z'
'y+1/2,x+1/2,-z'
'-y+1/2,-x+1/2,z'
loop_
_atom_site_label
_atom_site_type_symbol
_atom_site_fract_x
_atom_site_fract_y
_atom_site_fract_z
La1 La 0.250 0.250 0.152
Ti1 Ti 0.250 0.750 0.500
Ge1 Ge 0.250 0.250 0.717
```

***

Record 8
Calculated powder diffraction line list
Compound: Li9Ge4
Radiation: Cu Kα (weighted mean of Kα1 and Kα2)
Structure: a PBE-relaxed structure
Kinematic intensities with the Lorentz-polarization factor, no thermal factor.

Largest 12 diffraction maxima, low angle first, 15 to 90 degrees two-theta:
two_theta  d (Å)  Rel. int.
23.3  3.815  54
24.2  3.676  100
25.6  3.473  15
30.1  2.967  22
40.4  2.232  56
41.4  2.179  20
44.8  2.023  34
47.7  1.908  16
51.2  1.784  29
61.9  1.499  13
64.2  1.450  13
76.6  1.244  13

Cell and atoms:
```
data_Li9Ge4
_chemical_formula_sum 'Li36 Ge16'
_symmetry_space_group_name_H-M 'C m c m'
_symmetry_Int_Tables_number 63
_symmetry_space_group_name_Hall '-C 2c 2'
_cell_length_a 4.463
_cell_length_b 7.733
_cell_length_c 23.739
_cell_angle_alpha 90.00
_cell_angle_beta 90.00
_cell_angle_gamma 90.00
loop_
_atom_site_label
_atom_site_type_symbol
_atom_site_fract_x
_atom_site_fract_y
_atom_site_fract_z
Li1 Li 0.000 0.001 0.176
Li2 Li 0.000 0.333 0.017
Li3 Li 0.000 0.333 0.593
Li4 Li 0.000 0.334 0.132
Li5 Li 0.000 0.334 0.250
Ge1 Ge 0.000 0.000 0.054
Ge2 Ge 0.000 0.333 0.699
```